Entry 1:
Structure and calculated powder diffractogram of DyYTlO (the GGA-PBE geometry in Alexandria; λ = 1.5418 Å (Cu Kα)).
Intensities are scaled so that the largest is 100.

Main lines, by angle (10° ≤ 2θ ≤ 90°):
two_theta, d (Å), I (rel.)
12.7, 6.970, 10
31.1, 2.873, 100
34.7, 2.585, 35
38.8, 2.323, 12
49.9, 1.828, 15
53.0, 1.728, 23
60.0, 1.542, 31
64.9, 1.437, 11
65.4, 1.426, 10
86.6, 1.125, 10

Cell and atoms:
Lattice parameters (Å, degrees): 7.4342 7.4342 7.4342 151.53 151.53 40.70
Fractional positions:
Dy1 0.0000 0.0000 0.0000
Y1 0.6857 0.6857 0.0000
Tl1 0.3431 0.3431 0.0000
O1 0.0916 0.5916 0.5000

Entry 2:
Structure and calculated powder diffractogram of DyTmO4 (the GGA-PBE geometry in Alexandria; λ = 1.5418 Å (Cu Kα)).
Intensities are scaled so that the largest is 100.

Main lines, by angle (10° ≤ 2θ ≤ 90°):
two_theta, d (Å), I (rel.)
26.4, 3.381, 31
27.5, 3.243, 20
29.2, 3.063, 47
30.5, 2.928, 100
31.5, 2.836, 33
31.9, 2.808, 37
41.6, 2.173, 20
47.2, 1.924, 32
49.3, 1.848, 19
51.7, 1.769, 27

Cell and atoms:
Lattice parameters (Å, degrees): 3.8691 3.8691 6.1595 95.30 95.30 57.06
Fractional positions:
Dy1 0.0000 0.0000 0.0000
Tm1 0.3643 0.3643 0.4565
O1 0.0356 0.0356 0.3771
O2 0.3295 0.3295 0.0867
O3 0.5884 0.5884 0.7767
O4 0.7764 0.7764 0.6711

Entry 3:
Structure and calculated powder diffractogram of Dy2TmUO8 (the GGA-PBE geometry in Alexandria; λ = 1.5418 Å (Cu Kα)).
Intensities are scaled so that the largest is 100.

Main lines, by angle (10° ≤ 2θ ≤ 90°):
two_theta, d (Å), I (rel.)
28.7, 3.112, 100
29.1, 3.064, 96
33.4, 2.683, 45
33.8, 2.656, 22
47.4, 1.920, 18
48.2, 1.888, 66
48.5, 1.876, 16
56.6, 1.627, 31
57.3, 1.607, 44
57.6, 1.601, 14

Cell and atoms:
Lattice parameters (Å, degrees): 3.8396 5.3111 7.5033 90.00 90.00 90.00
Fractional positions:
Dy1 0.0000 0.0000 0.2481
Dy2 0.0000 0.0000 0.7519
Tm1 0.5000 0.5000 0.0000
U1 0.5000 0.5000 0.5000
O1 0.0000 0.2537 0.0000
O2 0.0000 0.2672 0.5000
O3 0.0000 0.7328 0.5000
O4 0.0000 0.7463 0.0000
O5 0.5000 0.2600 0.2686
O6 0.5000 0.2600 0.7314
O7 0.5000 0.7400 0.2686
O8 0.5000 0.7400 0.7314

Entry 4:
Structure and calculated powder diffractogram of DyTm2UO8 (the GGA-PBE geometry in Alexandria; λ = 1.5418 Å (Cu Kα)).
Intensities are scaled so that the largest is 100.

Main lines, by angle (10° ≤ 2θ ≤ 90°):
two_theta, d (Å), I (rel.)
28.8, 3.100, 100
29.3, 3.050, 96
33.4, 2.679, 45
34.1, 2.630, 21
47.4, 1.919, 18
48.5, 1.877, 65
48.7, 1.872, 16
56.7, 1.624, 31
57.5, 1.602, 29
78.9, 1.214, 18

Cell and atoms:
Lattice parameters (Å, degrees): 3.8374 5.2599 7.4862 90.00 90.00 90.00
Fractional positions:
Dy1 0.0000 0.0000 0.0000
Tm1 0.5000 0.5000 0.2493
Tm2 0.5000 0.5000 0.7507
U1 0.0000 0.0000 0.5000
O1 0.0000 0.2447 0.2702
O2 0.0000 0.2447 0.7298
O3 0.0000 0.7553 0.2702
O4 0.0000 0.7553 0.7298
O5 0.5000 0.2358 0.5000
O6 0.5000 0.2547 0.0000
O7 0.5000 0.7453 0.0000
O8 0.5000 0.7642 0.5000

Entry 5:
Structure and calculated powder diffractogram of DyU2O7 (the GGA-PBE geometry in Alexandria; λ = 1.5418 Å (Cu Kα)).
Intensities are scaled so that the largest is 100.

Main lines, by angle (10° ≤ 2θ ≤ 90°):
two_theta, d (Å), I (rel.)
17.4, 5.106, 25
26.2, 3.404, 47
27.0, 3.298, 32
27.5, 3.242, 100
30.6, 2.917, 58
33.9, 2.644, 68
47.5, 1.915, 57
49.9, 1.827, 45
55.0, 1.669, 38
55.4, 1.658, 26

Cell and atoms:
Lattice parameters (Å, degrees): 10.4493 10.4493 10.4493 21.12 21.12 21.12
Fractional positions:
Dy1 0.0000 0.0000 0.0000
U1 0.4322 0.4322 0.4322
U2 0.5678 0.5678 0.5678
O1 0.0769 0.0769 0.0769
O2 0.2202 0.2202 0.2202
O3 0.3619 0.3619 0.3619
O4 0.5000 0.5000 0.5000
O5 0.6381 0.6381 0.6381
O6 0.7798 0.7798 0.7798
O7 0.9231 0.9231 0.9231

Copy entry 5 word for word.
Structure and calculated powder diffractogram of DyU2O7 (the GGA-PBE geometry in Alexandria; λ = 1.5418 Å (Cu Kα)).
Intensities are scaled so that the largest is 100.

Main lines, by angle (10° ≤ 2θ ≤ 90°):
two_theta, d (Å), I (rel.)
17.4, 5.106, 25
26.2, 3.404, 47
27.0, 3.298, 32
27.5, 3.242, 100
30.6, 2.917, 58
33.9, 2.644, 68
47.5, 1.915, 57
49.9, 1.827, 45
55.0, 1.669, 38
55.4, 1.658, 26

Cell and atoms:
Lattice parameters (Å, degrees): 10.4493 10.4493 10.4493 21.12 21.12 21.12
Fractional positions:
Dy1 0.0000 0.0000 0.0000
U1 0.4322 0.4322 0.4322
U2 0.5678 0.5678 0.5678
O1 0.0769 0.0769 0.0769
O2 0.2202 0.2202 0.2202
O3 0.3619 0.3619 0.3619
O4 0.5000 0.5000 0.5000
O5 0.6381 0.6381 0.6381
O6 0.7798 0.7798 0.7798
O7 0.9231 0.9231 0.9231